Diffraction record for NaLiMnP2O7. The X-ray diffraction stick pattern is computed, not measured: it uses DFT lattice parameters and positions (PBE+U) and a wavelength of 1.5418 Å.
Neutral-atom scattering factors, no anomalous dispersion.

Atomic structure:
```
data_NaLiMnP2O7
_chemical_formula_sum 'Na2 Li2 Mn2 P4 O14'
_symmetry_space_group_name_H-M 'P 1'
_symmetry_Int_Tables_number 1
_cell_length_a 6.563
_cell_length_b 6.635
_cell_length_c 7.031
_cell_angle_alpha 70.62
_cell_angle_beta 82.03
_cell_angle_gamma 81.04
loop_
_symmetry_equiv_pos_as_xyz
'x,y,z'
loop_
_atom_site_label
_atom_site_type_symbol
_atom_site_fract_x
_atom_site_fract_y
_atom_site_fract_z
Na1 Na 0.000 0.000 0.000
Na2 Na 0.325 0.271 0.642
Li1 Li 0.104 0.574 0.276
Li2 Li 0.855 0.275 0.625
Mn1 Mn 0.414 0.644 0.899
Mn2 Mn 0.715 0.849 0.457
P1 P 0.202 0.946 0.444
P2 P 0.463 0.082 0.046
P3 P 0.659 0.411 0.309
P4 P 0.915 0.529 0.908
O1 O 0.008 0.371 0.796
O2 O 0.056 0.824 0.379
O3 O 0.074 0.633 0.977
O4 O 0.091 0.094 0.560
O5 O 0.297 0.112 0.234
O6 O 0.362 0.957 0.942
O7 O 0.384 0.795 0.555
O8 O 0.447 0.520 0.242
O9 O 0.480 0.312 0.901
O10 O 0.649 0.186 0.468
O11 O 0.664 0.968 0.135
O12 O 0.743 0.695 0.797
O13 O 0.785 0.536 0.394
O14 O 0.806 0.373 0.116
```

Principal peaks in the range 10° ≤ 2θ ≤ 80°, in order of rising 2θ:
two_theta	d [Å]	Rel. int.
13.72	6.455	29.9
16.19	5.475	54.5
26.71	3.338	35.1
27.01	3.302	55.4
27.58	3.234	100.0
28.72	3.109	53.8
29.65	3.013	66.9
31.98	2.798	72.0
34.57	2.595	63.2
35.16	2.553	30.6